Computed powder X-ray diffraction pattern of NdAlZn2Cu4 for Cu Kα, 1.54184 Å, from a crystal structure in Alexandria, relaxed with GGA-PBE.
Kinematic intensities with the Lorentz-polarization factor, no thermal factor.

Peak list (12 most intense, 10° ≤ 2θ ≤ 90°, by angle)
2θ 24.78, intensity 14; 2θ 30.20, intensity 38; 2θ 34.86, intensity 33; 2θ 37.50, intensity 82; 2θ 43.17, intensity 100; 2θ 46.40, intensity 13; 2θ 58.49, intensity 21; 2θ 62.14, intensity 11; 2θ 67.43, intensity 9; 2θ 71.35, intensity 8; 2θ 75.41, intensity 21; 2θ 79.18, intensity 17

Structure:
Unit cell a=8.856 b=8.856 c=8.856 alpha=27.37 beta=27.37 gamma=27.37
Sites, in units of the cell vectors:
Nd: 0.000 0.000 0.000
Al: 0.500 0.500 0.500
Zn: 0.240 0.240 0.240
Zn: 0.760 0.760 0.760
Cu: 0.132 0.132 0.132
Cu: 0.405 0.405 0.405
Cu: 0.595 0.595 0.595
Cu: 0.868 0.868 0.868